Entry 1:
Structure and simulated powder diffractogram of Pb13Au2 (a cell relaxed with PBE; λ = 1.5418 Å (Cu Kα)).
Lines closer than 0.1° are merged.

Structure:
Cell: 6.234 7.890 9.926 Å, 70.38 78.03 82.20°
Space group P-1 (No. 2)
One atom of each set of equivalent atoms:
Pb: 0.000 0.000 0.000
Pb: 0.049 0.416 0.709
Pb: 0.239 0.001 0.629
Pb: 0.243 0.176 0.211
Pb: 0.247 0.609 0.939
Pb: 0.438 0.391 0.397
Pb: 0.492 0.800 0.142
Au: 0.177 0.772 0.446

Main lines, in order of rising 2θ (10° ≤ 2θ ≤ 80°):
| 2θ/deg | I_rel |
| --- | --- |
| 31.01 | 66.8 |
| 31.43 | 100.0 |
| 32.32 | 50.0 |
| 34.45 | 38.1 |
| 35.80 | 42.7 |
| 39.37 | 24.0 |
| 51.37 | 12.5 |
| 52.38 | 13.1 |
| 54.57 | 11.7 |
| 61.14 | 17.2 |

Entry 2:
Structure and simulated powder diffractogram of Pb2Au (a cell relaxed with PBE; λ = 1.5418 Å (Cu Kα)).
Lines closer than 0.1° are merged.

Structure:
Cell: 7.9601 7.9601 4.4287 Å, 90.00 90.00 120.00°
Space group P-62m (No. 189)
One atom of each set of equivalent atoms:
Pb: 0.0000 0.2600 0.0000
Pb: 0.0000 0.5972 0.5000
Au: 0.0000 0.0000 0.5000
Au: 0.3333 0.6667 0.0000

Main lines, in order of rising 2θ (10° ≤ 2θ ≤ 80°):
| 2θ/deg | I_rel |
| --- | --- |
| 30.19 | 100.0 |
| 32.93 | 89.3 |
| 34.42 | 42.6 |
| 39.20 | 44.5 |
| 40.15 | 34.6 |
| 40.75 | 31.5 |
| 54.37 | 23.8 |
| 57.83 | 29.2 |
| 62.34 | 36.4 |
| 69.24 | 10.9 |

Entry 3:
Structure and simulated powder diffractogram of Pb7Au6 (a cell relaxed with PBE; λ = 1.5418 Å (Cu Kα)).
Lines closer than 0.1° are merged.

Structure:
Cell: 6.9515 6.9515 26.3504 Å, 90.00 90.00 120.00°
Space group R-3m (No. 166, hexagonal axes)
One atom of each set of equivalent atoms:
Pb: 0.0000 0.0000 0.0000
Pb: 0.0154 0.5077 0.4197
Au: 0.0000 0.0000 0.1628
Au: 0.0000 0.0000 0.3408
Au: 0.0000 0.0000 0.4463

Main lines, in order of rising 2θ (10° ≤ 2θ ≤ 80°):
| 2θ/deg | I_rel |
| --- | --- |
| 25.63 | 63.6 |
| 29.88 | 68.1 |
| 30.48 | 36.5 |
| 32.86 | 100.0 |
| 34.31 | 51.1 |
| 38.29 | 56.9 |
| 40.57 | 39.6 |
| 49.97 | 32.5 |
| 52.67 | 62.7 |
| 68.90 | 28.9 |

Entry 4:
Structure and simulated powder diffractogram of Pb5Au6 (a cell relaxed with PBE; λ = 1.5418 Å (Cu Kα)).
Lines closer than 0.1° are merged.

Structure:
Cell: 4.501 31.267 3.887 Å, 90.00 90.00 90.00°
Space group Cmmm (No. 65)
One atom of each set of equivalent atoms:
Pb: 0.000 0.000 0.000
Pb: 0.000 0.196 0.500
Pb: 0.000 0.379 0.000
Au: 0.000 0.099 0.500
Au: 0.000 0.280 0.000
Au: 0.000 0.456 0.500

Main lines, in order of rising 2θ (10° ≤ 2θ ≤ 80°):
| 2θ/deg | I_rel |
| --- | --- |
| 31.60 | 100.0 |
| 32.49 | 29.2 |
| 36.57 | 14.3 |
| 37.42 | 45.3 |
| 40.06 | 32.5 |
| 40.16 | 38.2 |
| 46.73 | 21.1 |
| 52.49 | 16.3 |
| 61.34 | 21.9 |
| 63.21 | 17.4 |

Entry 5:
Structure and simulated powder diffractogram of PbAu (a cell relaxed with PBE; λ = 1.5418 Å (Cu Kα)).
Lines closer than 0.1° are merged.

Structure:
Cell: 10.730 10.730 3.702 Å, 90.00 90.00 90.00°
Space group P4/m (No. 83)
One atom of each set of equivalent atoms:
Pb: 0.127 0.184 0.000
Pb: 0.318 0.629 0.500
Au: 0.100 0.394 0.500
Au: 0.108 0.601 0.000

Main lines, in order of rising 2θ (10° ≤ 2θ ≤ 80°):
| 2θ/deg | I_rel |
| --- | --- |
| 11.66 | 27.3 |
| 25.45 | 25.8 |
| 26.26 | 19.4 |
| 30.50 | 21.4 |
| 33.40 | 43.4 |
| 34.88 | 33.2 |
| 38.83 | 100.0 |
| 42.98 | 19.9 |
| 60.80 | 16.0 |
| 68.53 | 31.9 |

Entry 6:
Structure and simulated powder diffractogram of Pb5Au (a cell relaxed with PBE; λ = 1.5418 Å (Cu Kα)).
Lines closer than 0.1° are merged.

Structure:
Cell: 7.245 7.245 13.920 Å, 90.00 90.00 90.00°
Space group I4/mcm (No. 140)
One atom of each set of equivalent atoms:
Pb: 0.000 0.000 0.000
Pb: 0.160 0.340 0.145
Au: 0.000 0.000 0.250

Main lines, in order of rising 2θ (10° ≤ 2θ ≤ 80°):
| 2θ/deg | I_rel |
| --- | --- |
| 28.28 | 69.4 |
| 31.07 | 68.9 |
| 33.74 | 100.0 |
| 35.03 | 21.2 |
| 35.78 | 65.8 |
| 39.33 | 70.5 |
| 54.11 | 31.5 |
| 57.35 | 24.8 |
| 60.38 | 36.2 |
| 71.71 | 20.3 |

What is the formula in the first record? Pb13Au2

What is the formula in the third record? Pb7Au6